[1]
This entry pairs a crystal structure of Rb3MnAs2 with its theoretical X-ray powder pattern. Radiation: Cu Kα. Structure: a crystal structure in Alexandria, relaxed with GGA-PBE.
Neutral-atom scattering factors, no anomalous dispersion.

Crystal structure
```
data_Rb3MnAs2
_cell_length_a 8.5321
_cell_length_b 14.7676
_cell_length_c 6.8744
_cell_angle_alpha 90.00
_cell_angle_beta 90.00
_cell_angle_gamma 90.00
_symmetry_space_group_name_H-M 'I b a m'
_symmetry_Int_Tables_number 72
_symmetry_space_group_name_Hall '-I 2 2c'
loop_
_atom_site_label
_atom_site_type_symbol
_atom_site_fract_x
_atom_site_fract_y
_atom_site_fract_z
_atom_site_occupancy
Rb1 Rb 0.0000 0.0000 0.2500 1
Rb2 Rb 0.1914 0.3163 0.0000 1
Mn1 Mn 0.0000 0.5000 0.2500 1
As1 As 0.1695 0.4206 0.5000 1
```

Principal peaks in the range 10 to 90 degrees two-theta, in order of rising 2θ:
two_theta, I (rel.)
11.98, 53
24.09, 37
28.65, 40
29.39, 100
30.63, 31
32.05, 44
33.48, 55
35.69, 26

[2]
This entry pairs a crystal structure of Li6Ac2Pt3 with its theoretical X-ray powder pattern. Radiation: Cu Kα. Structure: a crystal structure in Alexandria, relaxed with GGA-PBE.
Neutral-atom scattering factors, no anomalous dispersion.

Crystal structure
```
data_Li6Ac2Pt3
_cell_length_a 7.9782
_cell_length_b 7.9782
_cell_length_c 4.1277
_cell_angle_alpha 90.00
_cell_angle_beta 90.00
_cell_angle_gamma 120.00
_symmetry_space_group_name_H-M 'P -6 2 m'
_symmetry_Int_Tables_number 189
_symmetry_space_group_name_Hall 'P -6 -2'
loop_
_atom_site_label
_atom_site_type_symbol
_atom_site_fract_x
_atom_site_fract_y
_atom_site_fract_z
_atom_site_occupancy
Li1 Li 0.0000 0.2040 0.0000 1
Li2 Li 0.0000 0.7393 0.5000 1
Ac1 Ac 0.3333 0.6667 0.0000 1
Pt1 Pt 0.0000 0.3962 0.5000 1
```

Principal peaks in the range 10 to 90 degrees two-theta, in order of rising 2θ:
two_theta, I (rel.)
12.81, 62
22.29, 36
31.18, 100
33.84, 33
34.34, 15
39.11, 26
40.89, 16
47.44, 18

[3]
This entry pairs a crystal structure of Sm2YSi3Pt4 with its theoretical X-ray powder pattern. Radiation: Cu Kα. Structure: a crystal structure in Alexandria, relaxed with GGA-PBE.
Neutral-atom scattering factors, no anomalous dispersion.

Crystal structure
```
data_Sm2YSi3Pt4
_cell_length_a 4.2446
_cell_length_b 4.2446
_cell_length_c 10.9161
_cell_angle_alpha 90.00
_cell_angle_beta 90.00
_cell_angle_gamma 90.00
_symmetry_space_group_name_H-M 'P -4 m 2'
_symmetry_Int_Tables_number 115
_symmetry_space_group_name_Hall 'P -4 -2'
loop_
_atom_site_label
_atom_site_type_symbol
_atom_site_fract_x
_atom_site_fract_y
_atom_site_fract_z
_atom_site_occupancy
Sm1 Sm 0.0000 0.5000 0.2245 1
Y1 Y 0.0000 0.0000 0.5000 1
Si1 Si 0.0000 0.5000 0.8813 1
Si2 Si 0.5000 0.5000 0.5000 1
Pt1 Pt 0.0000 0.0000 0.0000 1
Pt2 Pt 0.0000 0.5000 0.6633 1
Pt3 Pt 0.5000 0.5000 0.0000 1
```

Principal peaks in the range 10 to 90 degrees two-theta, in order of rising 2θ:
two_theta, I (rel.)
26.60, 30
30.90, 19
34.09, 100
39.25, 19
42.60, 45
46.79, 16
61.82, 15
72.52, 23

[4]
This entry pairs a crystal structure of Hf2Ti2As3 with its theoretical X-ray powder pattern. Radiation: Cu Kα. Structure: a crystal structure in Alexandria, relaxed with GGA-PBE.
Neutral-atom scattering factors, no anomalous dispersion.

Crystal structure
```
data_Hf2Ti2As3
_cell_length_a 5.5736
_cell_length_b 6.4912
_cell_length_c 7.0814
_cell_angle_alpha 90.00
_cell_angle_beta 97.26
_cell_angle_gamma 90.00
_symmetry_space_group_name_H-M 'P 1 21/c 1'
_symmetry_Int_Tables_number 14
_symmetry_space_group_name_Hall '-P 2ybc'
loop_
_atom_site_label
_atom_site_type_symbol
_atom_site_fract_x
_atom_site_fract_y
_atom_site_fract_z
_atom_site_occupancy
Hf1 Hf 0.1257 0.1392 0.3422 1
Ti1 Ti 0.3718 0.6995 0.4948 1
As1 As 0.0000 0.0000 0.0000 1
As2 As 0.3845 0.0418 0.6962 1
```

Principal peaks in the range 10 to 90 degrees two-theta, in order of rising 2θ:
two_theta, I (rel.)
21.11, 36
28.90, 34
33.70, 100
34.81, 59
35.29, 47
36.14, 66
40.97, 60
47.51, 52

[5]
This entry pairs a crystal structure of Na3Al2P2O8F3 with its theoretical X-ray powder pattern. Radiation: Cu Kα. Structure: a crystal structure in Alexandria, relaxed with GGA-PBE.
Neutral-atom scattering factors, no anomalous dispersion.

Crystal structure
```
data_Na3Al2P2O8F3
_cell_length_a 6.2755
_cell_length_b 10.4826
_cell_length_c 6.2768
_cell_angle_alpha 90.00
_cell_angle_beta 90.07
_cell_angle_gamma 90.00
_symmetry_space_group_name_H-M 'P 1 m 1'
_symmetry_Int_Tables_number 6
_symmetry_space_group_name_Hall 'P -2y'
loop_
_atom_site_label
_atom_site_type_symbol
_atom_site_fract_x
_atom_site_fract_y
_atom_site_fract_z
_atom_site_occupancy
Na1 Na 0.0000 0.0000 0.0000 1
Na2 Na 0.0236 0.5000 0.4501 1
Na3 Na 0.1088 0.5000 0.9243 1
Na4 Na 0.4998 0.5000 0.4988 1
Na5 Na 0.5249 0.0000 0.9484 1
Na6 Na 0.6019 0.0000 0.4223 1
Al1 Al 0.2505 0.1804 0.6645 1
Al2 Al 0.7505 0.3197 0.1642 1
P1 P 0.2595 0.2499 0.1746 1
P2 P 0.7595 0.2501 0.6745 1
O1 O 0.0579 0.3357 0.1780 1
O2 O 0.2568 0.1644 0.9727 1
O3 O 0.2659 0.1593 0.3679 1
O4 O 0.4526 0.3411 0.1735 1
O5 O 0.5580 0.1641 0.6778 1
O6 O 0.7566 0.3355 0.4725 1
O7 O 0.7655 0.3406 0.8677 1
O8 O 0.9528 0.1591 0.6737 1
F1 F 0.2448 0.3560 0.6590 1
F2 F 0.2633 0.0000 0.6787 1
F3 F 0.7444 0.1440 0.1588 1
F4 F 0.7633 0.5000 0.1787 1
```

Principal peaks in the range 10 to 90 degrees two-theta, in order of rising 2θ:
two_theta, I (rel.)
16.46, 33
16.92, 41
26.32, 34
28.44, 61
33.28, 100
41.25, 43
44.14, 25
58.86, 27

[6]
This entry pairs a crystal structure of Cs2ScCuI6 with its theoretical X-ray powder pattern. Radiation: Cu Kα. Structure: a crystal structure in Alexandria, relaxed with GGA-PBE.
Neutral-atom scattering factors, no anomalous dispersion.

Crystal structure
```
data_Cs2ScCuI6
_cell_length_a 8.2665
_cell_length_b 8.2665
_cell_length_c 11.6521
_cell_angle_alpha 90.00
_cell_angle_beta 90.00
_cell_angle_gamma 90.00
_symmetry_space_group_name_H-M 'I 4/m m m'
_symmetry_Int_Tables_number 139
_symmetry_space_group_name_Hall '-I 4 2'
loop_
_atom_site_label
_atom_site_type_symbol
_atom_site_fract_x
_atom_site_fract_y
_atom_site_fract_z
_atom_site_occupancy
Cs1 Cs 0.0000 0.5000 0.2500 1
Sc1 Sc 0.0000 0.0000 0.0000 1
Cu1 Cu 0.0000 0.0000 0.5000 1
I1 I 0.0000 0.0000 0.2510 1
I2 I 0.2500 0.2500 0.0000 1
```

Principal peaks in the range 10 to 90 degrees two-theta, in order of rising 2θ:
two_theta, I (rel.)
26.44, 100
30.59, 54
30.69, 27
43.86, 59
51.90, 31
52.03, 15
54.44, 21
72.32, 18

[7]
This entry pairs a crystal structure of LiPr2Sb2 with its theoretical X-ray powder pattern. Radiation: Cu Kα. Structure: a crystal structure in Alexandria, relaxed with GGA-PBE.
Neutral-atom scattering factors, no anomalous dispersion.

Crystal structure
```
data_LiPr2Sb2
_cell_length_a 6.6197
_cell_length_b 13.2547
_cell_length_c 6.5270
_cell_angle_alpha 90.00
_cell_angle_beta 90.00
_cell_angle_gamma 90.00
_symmetry_space_group_name_H-M 'I b a m'
_symmetry_Int_Tables_number 72
_symmetry_space_group_name_Hall '-I 2 2c'
loop_
_atom_site_label
_atom_site_type_symbol
_atom_site_fract_x
_atom_site_fract_y
_atom_site_fract_z
_atom_site_occupancy
Li1 Li 0.0000 0.0000 0.2500 1
Pr1 Pr 0.2170 0.3600 0.0000 1
Sb1 Sb 0.2355 0.1181 0.0000 1
```

Principal peaks in the range 10 to 90 degrees two-theta, in order of rising 2θ:
two_theta, I (rel.)
26.92, 100
27.33, 53
38.44, 37
38.74, 79
47.81, 37
62.94, 13
63.56, 17
69.72, 18

[8]
This entry pairs a crystal structure of LuCdAgRu with its theoretical X-ray powder pattern. Radiation: Cu Kα. Structure: a crystal structure in Alexandria, relaxed with GGA-PBE.
Neutral-atom scattering factors, no anomalous dispersion.

Crystal structure
```
data_LuCdAgRu
_cell_length_a 6.7191
_cell_length_b 6.7191
_cell_length_c 6.7191
_cell_angle_alpha 90.00
_cell_angle_beta 90.00
_cell_angle_gamma 90.00
_symmetry_space_group_name_H-M 'F -4 3 m'
_symmetry_Int_Tables_number 216
_symmetry_space_group_name_Hall 'F -4 2 3'
loop_
_atom_site_label
_atom_site_type_symbol
_atom_site_fract_x
_atom_site_fract_y
_atom_site_fract_z
_atom_site_occupancy
Lu1 Lu 0.0000 0.0000 0.0000 1
Cd1 Cd 0.0000 0.0000 0.5000 1
Ag1 Ag 0.2500 0.2500 0.2500 1
Ru1 Ru 0.2500 0.2500 0.7500 1
```

Principal peaks in the range 10 to 90 degrees two-theta, in order of rising 2θ:
two_theta, I (rel.)
22.93, 3
26.53, 2
37.87, 100
44.73, 2
54.64, 17
61.74, 1
68.40, 34
80.94, 11

[9]
This entry pairs a crystal structure of CeNd2Ho6 with its theoretical X-ray powder pattern. Radiation: Cu Kα. Structure: a crystal structure in Alexandria, relaxed with GGA-PBE.
Neutral-atom scattering factors, no anomalous dispersion.

Crystal structure
```
data_CeNd2Ho6
_cell_length_a 9.7448
_cell_length_b 9.7448
_cell_length_c 3.5211
_cell_angle_alpha 90.00
_cell_angle_beta 90.00
_cell_angle_gamma 120.00
_symmetry_space_group_name_H-M 'P -3'
_symmetry_Int_Tables_number 147
_symmetry_space_group_name_Hall '-P 3'
loop_
_atom_site_label
_atom_site_type_symbol
_atom_site_fract_x
_atom_site_fract_y
_atom_site_fract_z
_atom_site_occupancy
Ce1 Ce 0.0000 0.0000 0.0000 1
Nd1 Nd 0.3333 0.6667 0.7636 1
Ho1 Ho 0.0218 0.6731 0.2690 1
```

Principal peaks in the range 10 to 90 degrees two-theta, in order of rising 2θ:
two_theta, I (rel.)
31.34, 82
31.81, 100
33.14, 15
38.07, 13
45.26, 27
56.38, 27
56.67, 19
62.21, 18

[10]
This entry pairs a crystal structure of Ce4Hg with its theoretical X-ray powder pattern. Radiation: Cu Kα. Structure: a crystal structure in Alexandria, relaxed with GGA-PBE.
Neutral-atom scattering factors, no anomalous dispersion.

Crystal structure
```
data_Ce4Hg
_cell_length_a 3.1085
_cell_length_b 5.1198
_cell_length_c 15.7131
_cell_angle_alpha 90.00
_cell_angle_beta 90.00
_cell_angle_gamma 90.00
_symmetry_space_group_name_H-M 'I m m m'
_symmetry_Int_Tables_number 71
_symmetry_space_group_name_Hall '-I 2 2'
loop_
_atom_site_label
_atom_site_type_symbol
_atom_site_fract_x
_atom_site_fract_y
_atom_site_fract_z
_atom_site_occupancy
Ce1 Ce 0.0000 0.0000 0.1034 1
Ce2 Ce 0.0000 0.5000 0.1926 1
Hg1 Hg 0.0000 0.0000 0.5000 1
```

Principal peaks in the range 10 to 90 degrees two-theta, in order of rising 2θ:
two_theta, I (rel.)
33.48, 100
35.05, 29
35.67, 46
49.29, 24
58.43, 17
61.87, 11
63.28, 9
69.99, 15

[11]
This entry pairs a crystal structure of Tb2B3Ir2 with its theoretical X-ray powder pattern. Radiation: Cu Kα. Structure: a crystal structure in Alexandria, relaxed with GGA-PBE.
Neutral-atom scattering factors, no anomalous dispersion.

Crystal structure
```
data_Tb2B3Ir2
_cell_length_a 9.5737
_cell_length_b 3.7500
_cell_length_c 7.2311
_cell_angle_alpha 90.00
_cell_angle_beta 125.20
_cell_angle_gamma 90.00
_symmetry_space_group_name_H-M 'C 1 2/m 1'
_symmetry_Int_Tables_number 12
_symmetry_space_group_name_Hall '-C 2y'
loop_
_atom_site_label
_atom_site_type_symbol
_atom_site_fract_x
_atom_site_fract_y
_atom_site_fract_z
_atom_site_occupancy
Tb1 Tb 0.0690 0.0000 0.2958 1
B1 B 0.0000 0.5000 0.5000 1
B2 B 0.1668 0.5000 0.7647 1
Ir1 Ir 0.1995 0.5000 0.0984 1
```

Principal peaks in the range 10 to 90 degrees two-theta, in order of rising 2θ:
two_theta, I (rel.)
14.99, 36
26.92, 23
34.01, 50
35.00, 100
37.29, 76
42.39, 25
48.56, 22
59.95, 22

[12]
This entry pairs a crystal structure of La3Ga2Ni6 with its theoretical X-ray powder pattern. Radiation: Cu Kα. Structure: a crystal structure in Alexandria, relaxed with GGA-PBE.
Neutral-atom scattering factors, no anomalous dispersion.

Crystal structure
```
data_La3Ga2Ni6
_cell_length_a 9.1377
_cell_length_b 9.1377
_cell_length_c 9.1377
_cell_angle_alpha 90.00
_cell_angle_beta 90.00
_cell_angle_gamma 90.00
_symmetry_space_group_name_H-M 'I m -3 m'
_symmetry_Int_Tables_number 229
_symmetry_space_group_name_Hall '-I 4 2 3'
loop_
_atom_site_label
_atom_site_type_symbol
_atom_site_fract_x
_atom_site_fract_y
_atom_site_fract_z
_atom_site_occupancy
La1 La 0.0000 0.0000 0.2891 1
Ga1 Ga 0.2500 0.2500 0.2500 1
Ni1 Ni 0.0000 0.3379 0.3379 1
```

Principal peaks in the range 10 to 90 degrees two-theta, in order of rising 2θ:
two_theta, I (rel.)
30.95, 31
33.99, 41
36.80, 27
39.45, 25
41.95, 100
62.67, 16
68.06, 21
76.63, 25

[13]
This entry pairs a crystal structure of BaGaRuO6 with its theoretical X-ray powder pattern. Radiation: Cu Kα. Structure: a crystal structure in Alexandria, relaxed with GGA-PBE.
Neutral-atom scattering factors, no anomalous dispersion.

Crystal structure
```
data_BaGaRuO6
_cell_length_a 5.2681
_cell_length_b 5.2681
_cell_length_c 5.6763
_cell_angle_alpha 90.00
_cell_angle_beta 90.00
_cell_angle_gamma 120.00
_symmetry_space_group_name_H-M 'P 3 1 2'
_symmetry_Int_Tables_number 149
_symmetry_space_group_name_Hall 'P 3 2'
loop_
_atom_site_label
_atom_site_type_symbol
_atom_site_fract_x
_atom_site_fract_y
_atom_site_fract_z
_atom_site_occupancy
Ba1 Ba 0.0000 0.0000 0.0000 1
Ga1 Ga 0.3333 0.6667 0.5000 1
Ru1 Ru 0.6667 0.3333 0.5000 1
O1 O 0.4116 0.0118 0.6967 1
```

Principal peaks in the range 10 to 90 degrees two-theta, in order of rising 2θ:
two_theta, I (rel.)
25.04, 100
31.52, 9
34.04, 30
42.72, 19
47.07, 39
52.35, 10
55.71, 21
60.92, 9